This entry pairs a crystal structure of TbCe2Cd5 with its computed XRD peak list. Radiation: Cu Kα, 1.54184 Å. Structure: the GGA-PBE geometry in Alexandria.
Intensities are scaled so that the largest is 1000.

Structural model:
a b c (Å): 9.0439 9.0439 9.0439
angles (deg): 148.38 148.38 45.33
Fractional positions:
Tb 0.0000 0.0000 0.0000
Ce 0.2602 0.2602 0.0000
Ce 0.7398 0.7398 0.0000
Cd 0.1158 0.6158 0.5000
Cd 0.3842 0.8842 0.5000
Cd 0.5000 0.5000 0.0000
Cd 0.6158 0.1158 0.5000
Cd 0.8842 0.3842 0.5000

Principal peaks in the range 10° ≤ 2θ ≤ 90°, low angle first:
d (Å)  intensity
2.675  1000
2.464  414
2.086  106
1.742  142
1.592  176
1.460  298
1.337  97
1.292  69